Record 1
This entry pairs a crystal structure of VCr2Te4 with its computed powder XRD pattern. Radiation: CuKα. Structure: the PBE geometry in the Materials Project.
Intensities are scaled so that the largest is 100.

Peak list (10 most intense, 10 to 80 degrees two-theta, most intense first)
2theta  intensity
29.3  100
45.3  87
29.7  63
29.9  53
29.1  38
38.7  37
39.3  34
28.9  26
51.9  20
55.2  18

Cell and atoms:
Lattice parameters (Å, degrees): 14.0130 4.0023 6.9516 90.00 117.96 90.00
Atoms (fractional coordinates):
V (0.0000, 0.0000, 0.0000)
V (0.5000, 0.5000, 0.0000)
Cr (0.2409, 0.5000, 0.7156)
Cr (0.4788, 0.0000, 0.4320)
Cr (0.7409, 0.0000, 0.7156)
Cr (0.9788, 0.5000, 0.4320)
Te (0.1055, 0.0000, 0.7390)
Te (0.1221, 0.5000, 0.2649)
Te (0.3566, 0.5000, 0.1662)
Te (0.3750, 0.0000, 0.6920)
Te (0.6055, 0.5000, 0.7390)
Te (0.6221, 0.0000, 0.2649)
Te (0.8566, 0.0000, 0.1662)
Te (0.8750, 0.5000, 0.6920)

Record 2
This entry pairs a crystal structure of La2MgCu2O6 with its computed powder XRD pattern. Radiation: CuKα. Structure: the PBE geometry in the Materials Project.
Intensities are scaled so that the largest is 100.

Peak list (10 most intense, 10 to 80 degrees two-theta, most intense first)
2theta  intensity
30.7  100
33.9  81
56.7  41
46.4  37
54.7  29
62.6  21
21.0  21
35.4  17
74.5  16
79.7  15

Cell and atoms:
Lattice parameters (Å, degrees): 6.1721 6.1721 6.1721 56.22 56.22 56.22
Atoms (fractional coordinates):
La (0.0000, 0.0000, 0.0000)
La (0.4173, 0.4173, 0.4173)
Mg (0.6381, 0.6381, 0.6381)
Cu (0.2093, 0.2093, 0.2093)
Cu (0.8035, 0.8035, 0.8035)
O (0.0767, 0.4313, 0.8700)
O (0.3429, 0.9926, 0.5554)
O (0.4313, 0.8700, 0.0767)
O (0.5554, 0.3429, 0.9926)
O (0.8700, 0.0767, 0.4313)
O (0.9926, 0.5554, 0.3429)

Record 3
This entry pairs a crystal structure of NaCaScZnSi4O12 with its computed powder XRD pattern. Radiation: CuKα. Structure: the PBE geometry in the Materials Project.
Intensities are scaled so that the largest is 100.

Peak list (10 most intense, 10 to 80 degrees two-theta, most intense first)
2theta  intensity
29.2  100
35.1  42
34.9  40
29.7  39
34.2  27
13.4  25
41.4  21
55.4  18
64.4  17
51.0  15

Cell and atoms:
Lattice parameters (Å, degrees): 5.3609 9.1068 9.8943 90.00 104.99 90.00
Atoms (fractional coordinates):
Na (0.0000, 0.0529, 0.2500)
Na (0.0000, 0.9471, 0.7500)
Ca (0.5000, 0.4505, 0.2500)
Ca (0.5000, 0.5495, 0.7500)
Sc (0.5000, 0.1464, 0.7500)
Sc (0.5000, 0.8536, 0.2500)
Zn (0.0000, 0.3484, 0.7500)
Zn (0.0000, 0.6516, 0.2500)
Si (0.1975, 0.3407, 0.4608)
Si (0.1975, 0.6593, 0.9608)
Si (0.3000, 0.1607, 0.0368)
Si (0.3000, 0.8393, 0.5368)
Si (0.7000, 0.1607, 0.4632)
Si (0.7000, 0.8393, 0.9632)
Si (0.8025, 0.3407, 0.0392)
Si (0.8025, 0.6593, 0.5392)
O (0.0955, 0.2665, 0.0978)
O (0.0955, 0.7335, 0.5978)
O (0.2092, 0.4974, 0.3876)
O (0.2092, 0.5026, 0.8876)
O (0.2240, 0.1653, 0.8669)
O (0.2240, 0.8347, 0.3669)
O (0.2832, 0.3359, 0.6321)
O (0.2832, 0.6641, 0.1321)
O (0.2998, 0.0029, 0.1101)
O (0.2998, 0.9971, 0.6101)
O (0.4100, 0.2397, 0.4004)
O (0.4100, 0.7603, 0.9004)
O (0.5900, 0.2397, 0.0996)
O (0.5900, 0.7603, 0.5996)
O (0.7002, 0.0029, 0.3899)
O (0.7002, 0.9971, 0.8899)
O (0.7168, 0.3359, 0.8679)
O (0.7168, 0.6641, 0.3679)
O (0.7760, 0.1653, 0.6331)
O (0.7760, 0.8347, 0.1331)
O (0.7908, 0.4974, 0.1124)
O (0.7908, 0.5026, 0.6124)
O (0.9045, 0.2665, 0.4022)
O (0.9045, 0.7335, 0.9022)

Record 4
This entry pairs a crystal structure of Nd3O2F5 with its computed powder XRD pattern. Radiation: CuKα. Structure: the PBE geometry in the Materials Project.
Intensities are scaled so that the largest is 100.

Peak list (10 most intense, 10 to 80 degrees two-theta, most intense first)
2theta  intensity
22.7  100
28.8  87
29.3  85
23.8  84
44.7  39
43.4  38
44.6  35
48.7  34
45.8  33
32.1  28

Cell and atoms:
Lattice parameters (Å, degrees): 5.2629 3.7386 16.7250 90.00 92.77 90.00
Atoms (fractional coordinates):
Nd (0.0000, 0.0000, 0.0000)
Nd (0.0044, 0.0000, 0.6646)
Nd (0.0697, 0.0000, 0.3343)
Nd (0.4824, 0.5000, 0.5175)
Nd (0.4924, 0.5000, 0.8457)
Nd (0.5398, 0.5000, 0.1921)
O (0.2019, 0.5000, 0.2689)
O (0.3088, 0.0000, 0.5777)
O (0.6540, 0.0000, 0.9249)
O (0.7118, 0.0000, 0.2492)
F (0.0633, 0.5000, 0.4315)
F (0.1831, 0.0000, 0.8429)
F (0.2134, 0.5000, 0.9584)
F (0.2181, 0.5000, 0.7247)
F (0.3315, 0.0000, 0.1108)
F (0.4741, 0.0000, 0.4137)
F (0.6627, 0.0000, 0.7665)
F (0.7455, 0.5000, 0.6444)
F (0.7957, 0.0000, 0.5354)
F (0.8416, 0.5000, 0.0739)

Record 5
This entry pairs a crystal structure of DyMg2Sc with its computed powder XRD pattern. Radiation: CuKα. Structure: the PBE geometry in the Materials Project.
Intensities are scaled so that the largest is 100.

Peak list (10 most intense, 10 to 80 degrees two-theta, most intense first)
2theta  intensity
34.3  100
20.8  46
24.1  44
61.4  36
40.5  26
55.6  18
49.3  18
42.4  13
54.1  12
72.3  11

Cell and atoms:
Lattice parameters (Å, degrees): 7.3928 7.3928 7.3928 90.00 90.00 90.00
Atoms (fractional coordinates):
Dy (0.0000, 0.0000, 0.0000)
Dy (0.0000, 0.5000, 0.5000)
Dy (0.5000, 0.0000, 0.5000)
Dy (0.5000, 0.5000, 0.0000)
Mg (0.2500, 0.2500, 0.2500)
Mg (0.2500, 0.2500, 0.7500)
Mg (0.2500, 0.7500, 0.2500)
Mg (0.2500, 0.7500, 0.7500)
Mg (0.7500, 0.2500, 0.2500)
Mg (0.7500, 0.2500, 0.7500)
Mg (0.7500, 0.7500, 0.2500)
Mg (0.7500, 0.7500, 0.7500)
Sc (0.0000, 0.0000, 0.5000)
Sc (0.0000, 0.5000, 0.0000)
Sc (0.5000, 0.0000, 0.0000)
Sc (0.5000, 0.5000, 0.5000)

Record 6
This entry pairs a crystal structure of AsS with its computed powder XRD pattern. Radiation: CuKα. Structure: the PBE geometry in the Materials Project.
Intensities are scaled so that the largest is 100.

Peak list (10 most intense, 10 to 80 degrees two-theta, most intense first)
2theta  intensity
18.2  100
16.4  67
15.7  62
28.5  55
13.4  55
26.1  54
27.4  53
17.1  49
28.2  45
24.8  43

Cell and atoms:
Lattice parameters (Å, degrees): 7.6806 10.7080 13.7188 90.00 120.53 90.00
Atoms (fractional coordinates):
As (0.1569, 0.0230, 0.4139)
As (0.1569, 0.4770, 0.9139)
As (0.1676, 0.6520, 0.1755)
As (0.1676, 0.8480, 0.6755)
As (0.2040, 0.1262, 0.2602)
As (0.2040, 0.3738, 0.7602)
As (0.2956, 0.1595, 0.9946)
As (0.2956, 0.3405, 0.4946)
As (0.7044, 0.6595, 0.5054)
As (0.7044, 0.8405, 0.0054)
As (0.7960, 0.6262, 0.2398)
As (0.7960, 0.8738, 0.7398)
As (0.8324, 0.1520, 0.3245)
As (0.8324, 0.3480, 0.8245)
As (0.8431, 0.5230, 0.0861)
As (0.8431, 0.9770, 0.5861)
S (0.0464, 0.6633, 0.5847)
S (0.0464, 0.8367, 0.0847)
S (0.1382, 0.6616, 0.3334)
S (0.1382, 0.8384, 0.8334)
S (0.3495, 0.1923, 0.8483)
S (0.3495, 0.3077, 0.3483)
S (0.3558, 0.1399, 0.5629)
S (0.3558, 0.3601, 0.0629)
S (0.6442, 0.6399, 0.9371)
S (0.6442, 0.8601, 0.4371)
S (0.6505, 0.6923, 0.6517)
S (0.6505, 0.8077, 0.1517)
S (0.8618, 0.1616, 0.1666)
S (0.8618, 0.3384, 0.6666)
S (0.9536, 0.1633, 0.9153)
S (0.9536, 0.3367, 0.4153)

Record 7
This entry pairs a crystal structure of SrEuSe2 with its computed powder XRD pattern. Radiation: CuKα. Structure: the PBE geometry in the Materials Project.
Intensities are scaled so that the largest is 100.

Peak list (10 most intense, 10 to 80 degrees two-theta, most intense first)
2theta  intensity
28.7  100
41.0  75
67.3  34
50.8  27
74.7  19
59.4  12
24.8  8
12.3  7
74.6  6
48.5  4

Cell and atoms:
Lattice parameters (Å, degrees): 4.3995 4.3995 21.5939 90.00 90.00 120.00
Atoms (fractional coordinates):
Sr (0.0000, 0.0000, 0.0000)
Sr (0.3333, 0.6667, 0.6667)
Sr (0.6667, 0.3333, 0.3333)
Eu (0.0000, 0.0000, 0.5000)
Eu (0.3333, 0.6667, 0.1667)
Eu (0.6667, 0.3333, 0.8333)
Se (0.0000, 0.0000, 0.2479)
Se (0.0000, 0.0000, 0.7521)
Se (0.3333, 0.6667, 0.4188)
Se (0.3333, 0.6667, 0.9146)
Se (0.6667, 0.3333, 0.0854)
Se (0.6667, 0.3333, 0.5812)